(1)
Starting from a cell relaxed with PBE, the X-ray powder pattern of TbPmAgPt was computed for Cu Kα, 1.54184 Å.

Cell and atoms:
a = 7.2148 Å, b = 7.2148 Å, c = 7.2148 Å
α = 90.00°, β = 90.00°, γ = 90.00°
Space group F-43m (No. 216)
One atom of each set of equivalent atoms:
Tb: 0.0000 0.0000 0.0000 (multiplicity 4)
Pm: 0.0000 0.0000 0.5000 (multiplicity 4)
Ag: 0.2500 0.2500 0.2500 (multiplicity 4)
Pt: 0.2500 0.2500 0.7500 (multiplicity 4)

The 10 most intense peaks (15° ≤ 2θ ≤ 90°), in order of rising 2θ:
2θ 21.33, rel. 4, hkl 1 1 1
2θ 35.18, rel. 100, hkl 2 2 0
2θ 41.51, rel. 2, hkl 3 1 1
2θ 50.61, rel. 18, hkl 4 0 0
2θ 55.52, rel. 1, hkl 3 3 1
2θ 63.13, rel. 36, hkl 4 2 2
2θ 67.45, rel. 1, hkl 5 1 1
2θ 74.38, rel. 11, hkl 4 4 0
2θ 78.42, rel. 1, hkl 5 3 1
2θ 85.03, rel. 16, hkl 6 2 0

(2)
Starting from a cell relaxed with PBE, the X-ray powder pattern of PmPuAgTe was computed for Cu Kα, 1.54184 Å.

Cell and atoms:
a = 7.5460 Å, b = 7.5460 Å, c = 7.5460 Å
α = 90.00°, β = 90.00°, γ = 90.00°
Space group F-43m (No. 216)
One atom of each set of equivalent atoms:
Pm: 0.0000 0.0000 0.0000 (multiplicity 4)
Pu: 0.0000 0.0000 0.5000 (multiplicity 4)
Ag: 0.2500 0.2500 0.2500 (multiplicity 4)
Te: 0.2500 0.2500 0.7500 (multiplicity 4)

The 12 most intense peaks (15° ≤ 2θ ≤ 90°), in order of rising 2θ:
2θ 20.38, rel. 4, hkl 1 1 1
2θ 23.58, rel. 6, hkl 2 0 0
2θ 33.59, rel. 100, hkl 2 2 0
2θ 39.61, rel. 3, hkl 3 1 1
2θ 41.45, rel. 2, hkl 2 2 2
2θ 48.24, rel. 18, hkl 4 0 0
2θ 52.89, rel. 1, hkl 3 3 1
2θ 54.37, rel. 3, hkl 4 2 0
2θ 60.06, rel. 38, hkl 4 2 2
2θ 70.61, rel. 12, hkl 4 4 0
2θ 75.61, rel. 2, hkl 6 0 0
2θ 80.50, rel. 16, hkl 6 2 0

(3)
Starting from a cell relaxed with PBE, the X-ray powder pattern of PmPuAg2Te4 was computed for Cu Kα, 1.54184 Å.

Cell and atoms:
a = 7.6426 Å, b = 7.7019 Å, c = 8.3534 Å
α = 90.00°, β = 90.00°, γ = 90.00°
Space group I222 (No. 23)
One atom of each set of equivalent atoms:
Pm: 0.0000 0.0000 0.0000 (multiplicity 2)
Pu: 0.0000 0.0000 0.5000 (multiplicity 2)
Ag: 0.0000 0.5000 0.3310 (multiplicity 4)
Te: 0.2421 0.2475 0.8036 (multiplicity 8)

The 12 most intense peaks (15° ≤ 2θ ≤ 90°), in order of rising 2θ:
2θ 15.71, rel. 18, hkl 1 0 1
2θ 26.94, rel. 96, hkl 1 1 2
2θ 31.60, rel. 39, hkl 0 2 2
2θ 31.74, rel. 38, hkl 2 0 2
2θ 33.02, rel. 100, hkl 2 2 0
2θ 43.02, rel. 28, hkl 1 3 2
2θ 43.22, rel. 27, hkl 3 1 2
2θ 46.60, rel. 29, hkl 1 1 4
2θ 47.20, rel. 18, hkl 0 4 0
2θ 47.59, rel. 18, hkl 4 0 0
2θ 58.23, rel. 29, hkl 1 3 4
2θ 58.38, rel. 15, hkl 3 1 4

(4)
Starting from a cell relaxed with PBE, the X-ray powder pattern of RbPm2AgSe4 was computed for Cu Kα, 1.54184 Å.

Cell and atoms:
a = 4.3096 Å, b = 14.5670 Å, c = 15.0523 Å
α = 90.00°, β = 90.00°, γ = 90.00°
Space group Cmcm (No. 63)
One atom of each set of equivalent atoms:
Rb: 0.0000 0.1177 0.2500 (multiplicity 4)
Pm: 0.0000 0.3682 0.0661 (multiplicity 8)
Ag: 0.0000 0.1610 0.7500 (multiplicity 4)
Se: 0.0000 0.0000 0.0000 (multiplicity 4)
Se: 0.0000 0.2633 0.6040 (multiplicity 8)
Se: 0.0000 0.4425 0.2500 (multiplicity 4)

The 12 most intense peaks (15° ≤ 2θ ≤ 90°), in order of rising 2θ:
2θ 21.51, rel. 23, hkl 0 2 3
2θ 26.66, rel. 19, hkl 0 2 4
2θ 28.32, rel. 51, hkl 1 3 1
2θ 30.16, rel. 100, hkl 1 3 2
2θ 32.17, rel. 33, hkl 0 2 5
2θ 35.79, rel. 23, hkl 0 0 6
2θ 41.02, rel. 15, hkl 1 3 5
2θ 41.31, rel. 23, hkl 0 6 3
2θ 41.52, rel. 53, hkl 1 5 3
2θ 41.93, rel. 33, hkl 2 0 0
2θ 60.32, rel. 15, hkl 2 6 3
2θ 70.98, rel. 14, hkl 1 7 8

(5)
Starting from a cell relaxed with PBE, the X-ray powder pattern of Pm8AgRh5 was computed for Cu Kα, 1.54184 Å.

Cell and atoms:
a = 8.9331 Å, b = 8.9331 Å, c = 8.8071 Å
α = 90.00°, β = 90.00°, γ = 90.00°
Space group I-4 (No. 82)
One atom of each set of equivalent atoms:
Pm: 0.0577 0.1950 0.1785 (multiplicity 8)
Pm: 0.0647 0.3203 0.5697 (multiplicity 8)
Ag: 0.0000 0.0000 0.5000 (multiplicity 2)
Rh: 0.0000 0.5000 0.2500 (multiplicity 2)
Rh: 0.1314 0.2536 0.8740 (multiplicity 8)

The 12 most intense peaks (15° ≤ 2θ ≤ 90°), in order of rising 2θ:
2θ 28.46, rel. 17, hkl 2 0 2
2θ 31.70, rel. 100, hkl 1 3 0
2θ 32.09, rel. 48, hkl 1 0 3
2θ 37.72, rel. 29, hkl 3 2 1
2θ 37.84, rel. 27, hkl 3 1 2
2θ 38.04, rel. 20, hkl 2 1 3
2θ 50.15, rel. 11, hkl 2 4 2
2θ 52.24, rel. 18, hkl 3 4 1
2θ 52.49, rel. 12, hkl 1 4 3
2θ 52.71, rel. 15, hkl 3 1 4
2θ 64.34, rel. 16, hkl 1 6 1
2θ 78.78, rel. 12, hkl 1 7 2

(6)
Starting from a cell relaxed with PBE, the X-ray powder pattern of Pm3Ag2Rh3 was computed for Cu Kα, 1.54184 Å.

Cell and atoms:
a = 8.4482 Å, b = 8.4482 Å, c = 5.6624 Å
α = 90.00°, β = 90.00°, γ = 120.00°
Space group P6_3/mcm (No. 193)
One atom of each set of equivalent atoms:
Pm: 0.0000 0.2888 0.2500 (multiplicity 6)
Ag: 0.3333 0.6667 0.0000 (multiplicity 4)
Rh: 0.0000 0.3794 0.7500 (multiplicity 6)

The 12 most intense peaks (15° ≤ 2θ ≤ 90°), in order of rising 2θ:
2θ 31.60, rel. 22, hkl 0 0 2
2θ 32.37, rel. 14, hkl 2 1 0
2θ 36.15, rel. 56, hkl 2 1 1
2θ 36.86, rel. 100, hkl 3 0 0
2θ 38.27, rel. 90, hkl 1 1 2
2θ 47.60, rel. 19, hkl 3 1 1
2θ 49.32, rel. 18, hkl 3 0 2
2θ 54.18, rel. 24, hkl 2 2 2
2θ 67.33, rel. 17, hkl 4 1 2
2θ 70.05, rel. 17, hkl 4 2 1
2θ 74.06, rel. 15, hkl 5 1 1
2θ 78.05, rel. 22, hkl 3 0 4

(7)
Starting from a cell relaxed with PBE, the X-ray powder pattern of Pm4Ag2Rh was computed for Cu Kα, 1.54184 Å.

Cell and atoms:
a = 5.1572 Å, b = 5.1572 Å, c = 25.0663 Å
α = 90.00°, β = 90.00°, γ = 120.00°
Space group R-3m (No. 166, hexagonal axes)
One atom of each set of equivalent atoms:
Pm: 0.0000 0.0000 0.1201 (multiplicity 6)
Pm: 0.0000 0.0000 0.3715 (multiplicity 6)
Ag: 0.0000 0.0000 0.2452 (multiplicity 6)
Rh: 0.0000 0.0000 0.0000 (multiplicity 3)

The 12 most intense peaks (15° ≤ 2θ ≤ 90°), in order of rising 2θ:
2θ 20.20, rel. 7, hkl 1 0 1
2θ 24.47, rel. 19, hkl 1 0 4
2θ 34.79, rel. 100, hkl 1 1 0
2θ 34.98, rel. 94, hkl 0 1 8
2θ 50.17, rel. 34, hkl 2 0 8
2θ 62.37, rel. 18, hkl 3 0 0
2θ 62.50, rel. 34, hkl 1 2 8
2θ 62.86, rel. 15, hkl 1 0 16
2θ 73.44, rel. 11, hkl 2 2 0
2θ 73.90, rel. 9, hkl 0 2 16
2θ 84.01, rel. 15, hkl 3 1 8
2θ 84.34, rel. 13, hkl 2 1 16

(8)
Starting from a cell relaxed with PBE, the X-ray powder pattern of Pm6AgRu2 was computed for Cu Kα, 1.54184 Å.

Cell and atoms:
a = 9.6234 Å, b = 9.7476 Å, c = 10.5380 Å
α = 90.00°, β = 90.00°, γ = 90.00°
Space group Immm (No. 71)
One atom of each set of equivalent atoms:
Pm: 0.0000 0.1973 0.2381 (multiplicity 8)
Pm: 0.1853 0.5000 0.1721 (multiplicity 8)
Pm: 0.2172 0.3189 0.5000 (multiplicity 8)
Ag: 0.0000 0.0000 0.0000 (multiplicity 2)
Ag: 0.0000 0.0000 0.5000 (multiplicity 2)
Ru: 0.0000 0.3222 0.0000 (multiplicity 4)
Ru: 0.0000 0.5000 0.3750 (multiplicity 4)

The 12 most intense peaks (15° ≤ 2θ ≤ 90°), in order of rising 2θ:
2θ 29.31, rel. 30, hkl 3 1 0
2θ 31.15, rel. 100, hkl 2 2 2
2θ 32.88, rel. 56, hkl 2 1 3
2θ 33.72, rel. 85, hkl 1 3 2
2θ 34.02, rel. 24, hkl 0 0 4
2θ 34.37, rel. 63, hkl 2 3 1
2θ 34.54, rel. 37, hkl 3 2 1
2θ 37.38, rel. 30, hkl 4 0 0
2θ 37.99, rel. 28, hkl 3 0 3
2θ 38.86, rel. 29, hkl 0 2 4
2θ 57.35, rel. 23, hkl 2 5 3
2θ 58.42, rel. 37, hkl 5 3 2

(9)
Starting from a cell relaxed with PBE, the X-ray powder pattern of Pm6AgRu2 was computed for Cu Kα, 1.54184 Å.

Cell and atoms:
a = 10.1350 Å, b = 5.2720 Å, c = 9.0974 Å
α = 90.00°, β = 99.54°, γ = 90.00°
Space group C2/m (No. 12)
One atom of each set of equivalent atoms:
Pm: 0.0431 0.0000 0.3394 (multiplicity 4)
Pm: 0.1535 0.5000 0.8924 (multiplicity 4)
Pm: 0.2136 0.5000 0.3366 (multiplicity 4)
Ag: 0.0000 0.0000 0.0000 (multiplicity 2)
Ru: 0.1102 0.5000 0.6018 (multiplicity 4)

The 12 most intense peaks (15° ≤ 2θ ≤ 90°), in order of rising 2θ:
2θ 28.66, rel. 21, hkl 1 1 2
2θ 29.88, rel. 31, hkl 0 0 3
2θ 31.77, rel. 100, hkl 3 1 0
2θ 31.94, rel. 42, hkl 3 1 -1
2θ 34.01, rel. 76, hkl 0 2 0
2θ 34.35, rel. 48, hkl 1 1 -3
2θ 34.69, rel. 23, hkl 3 1 1
2θ 35.17, rel. 21, hkl 3 1 -2
2θ 40.16, rel. 34, hkl 0 0 4
2θ 40.82, rel. 30, hkl 3 1 -3
2θ 45.89, rel. 19, hkl 0 2 3
2θ 65.66, rel. 20, hkl 6 2 -1

(10)
Starting from a cell relaxed with PBE, the X-ray powder pattern of Pm3AgRu was computed for Cu Kα, 1.54184 Å.

Cell and atoms:
a = 6.5721 Å, b = 10.3219 Å, c = 15.6252 Å
α = 90.00°, β = 90.00°, γ = 90.00°
Space group Fmmm (No. 69)
One atom of each set of equivalent atoms:
Pm: 0.0000 0.0000 0.1910 (multiplicity 8)
Pm: 0.0000 0.1866 0.3901 (multiplicity 16)
Ag: 0.2085 0.0000 0.0000 (multiplicity 8)
Ru: 0.2500 0.2500 0.2500 (multiplicity 8)

The 12 most intense peaks (15° ≤ 2θ ≤ 90°), in order of rising 2θ:
2θ 27.14, rel. 21, hkl 2 0 0
2θ 28.66, rel. 29, hkl 0 2 4
2θ 29.86, rel. 100, hkl 1 3 1
2θ 32.90, rel. 70, hkl 1 1 5
2θ 34.08, rel. 45, hkl 1 3 3
2θ 34.33, rel. 98, hkl 2 2 2
2θ 34.77, rel. 25, hkl 0 4 0
2θ 35.71, rel. 77, hkl 2 0 4
2θ 38.73, rel. 50, hkl 0 2 6
2θ 39.88, rel. 23, hkl 2 2 4
2θ 52.55, rel. 28, hkl 3 3 3
2θ 55.12, rel. 37, hkl 1 5 5

(11)
Starting from a cell relaxed with PBE, the X-ray powder pattern of Pm6AgRu3 was computed for Cu Kα, 1.54184 Å.

Cell and atoms:
a = 10.6452 Å, b = 15.0386 Å, c = 6.7769 Å
α = 90.00°, β = 90.00°, γ = 90.00°
Space group Cmc2_1 (No. 36)
One atom of each set of equivalent atoms:
Pm: 0.0000 0.0335 0.0000 (multiplicity 4)
Pm: 0.0000 0.2521 0.8663 (multiplicity 4)
Pm: 0.1818 0.2991 0.4347 (multiplicity 8)
Pm: 0.1834 0.4622 0.8925 (multiplicity 8)
Ag: 0.0000 0.1564 0.3358 (multiplicity 4)
Ru: 0.0000 0.4095 0.6137 (multiplicity 4)
Ru: 0.1493 0.1161 0.6821 (multiplicity 8)

The 12 most intense peaks (15° ≤ 2θ ≤ 90°), in order of rising 2θ:
2θ 16.59, rel. 24, hkl 1 1 1
2θ 25.80, rel. 23, hkl 3 1 0
2θ 26.30, rel. 29, hkl 0 0 2
2θ 29.02, rel. 26, hkl 3 1 1
2θ 32.00, rel. 72, hkl 2 4 1
2θ 33.54, rel. 30, hkl 2 2 2
2θ 33.66, rel. 100, hkl 3 3 1
2θ 35.67, rel. 37, hkl 0 4 2
2θ 37.17, rel. 70, hkl 3 1 2
2θ 38.26, rel. 24, hkl 4 2 1
2θ 39.27, rel. 38, hkl 3 5 0
2θ 51.51, rel. 26, hkl 6 0 0

(12)
Starting from a cell relaxed with PBE, the X-ray powder pattern of Pm4Ag2S was computed for Cu Kα, 1.54184 Å.

Cell and atoms:
a = 5.3644 Å, b = 5.3644 Å, c = 14.6110 Å
α = 90.00°, β = 90.00°, γ = 90.00°
Space group I4/mmm (No. 139)
One atom of each set of equivalent atoms:
Pm: 0.0000 0.0000 0.1903 (multiplicity 4)
Pm: 0.0000 0.5000 0.0000 (multiplicity 4)
Ag: 0.0000 0.0000 0.3888 (multiplicity 4)
S: 0.0000 0.0000 0.0000 (multiplicity 2)

The 12 most intense peaks (15° ≤ 2θ ≤ 90°), in order of rising 2θ:
2θ 23.45, rel. 24, hkl 1 1 0
2θ 26.48, rel. 97, hkl 1 1 2
2θ 33.41, rel. 100, hkl 2 0 0
2θ 34.08, rel. 54, hkl 1 1 4
2θ 34.97, rel. 68, hkl 1 0 5
2θ 47.97, rel. 36, hkl 2 2 0
2θ 49.14, rel. 51, hkl 2 1 5
2θ 55.62, rel. 25, hkl 3 1 2
2θ 60.14, rel. 21, hkl 3 1 4
2θ 71.11, rel. 16, hkl 3 2 5
2θ 73.86, rel. 15, hkl 2 0 10
2θ 79.99, rel. 16, hkl 4 2 0

Q: Which formula does entry 12 have?
A: Pm4Ag2S